No. 1
Diffraction record for V2O5. The XRD peak list is simulated, not measured: it uses the PBE+U geometry in the Materials Project and Cu Kα, 1.54184 Å.
Neutral-atom scattering factors, no anomalous dispersion.

Top 10 peaks for 2θ from 10° to 90°, sorted by position:
- 2θ = 17.57°, I = 7.5
- 2θ = 22.74°, I = 100.0
- 2θ = 26.81°, I = 28.4
- 2θ = 32.24°, I = 11.4
- 2θ = 35.44°, I = 17.2
- 2θ = 42.53°, I = 9.4
- 2θ = 46.45°, I = 16.9
- 2θ = 54.44°, I = 12.0
- 2θ = 55.25°, I = 7.0
- 2θ = 60.51°, I = 9.9

Structure:
Lattice parameters (Å, degrees): 5.7213 10.7131 3.3250 90.00 90.00 90.00
Fractional positions:
V1 0.2038 0.1284 0.0000
V2 0.2962 0.6284 0.0000
V3 0.7038 0.3716 0.0000
V4 0.7962 0.8716 0.0000
O1 0.0000 0.0000 0.0000
O2 0.0307 0.2518 0.0000
O3 0.1810 0.5978 0.5000
O4 0.3190 0.0978 0.5000
O5 0.4693 0.7518 0.0000
O6 0.5000 0.5000 0.0000
O7 0.5307 0.2482 0.0000
O8 0.6810 0.9022 0.5000
O9 0.8190 0.4022 0.5000
O10 0.9693 0.7482 0.0000


No. 2
Diffraction record for VO2. The XRD peak list is simulated, not measured: it uses the PBE+U geometry in the Materials Project and Cu Kα, 1.54184 Å.
Neutral-atom scattering factors, no anomalous dispersion.

Top 10 peaks for 2θ from 10° to 90°, sorted by position:
- 2θ = 18.08°, I = 38.8
- 2θ = 18.17°, I = 27.7
- 2θ = 18.76°, I = 100.0
- 2θ = 21.20°, I = 40.3
- 2θ = 35.01°, I = 23.6
- 2θ = 35.07°, I = 32.2
- 2θ = 35.45°, I = 24.1
- 2θ = 42.80°, I = 32.3
- 2θ = 43.10°, I = 32.4
- 2θ = 43.23°, I = 32.4

Structure:
Lattice parameters (Å, degrees): 6.0108 6.0199 14.1886 90.24 90.36 119.71
Fractional positions:
V1 0.0000 0.0000 0.0000
V2 0.0006 0.5263 0.5121
V3 0.0212 0.5320 0.8817
V4 0.1884 0.8898 0.6690
V5 0.2193 0.3750 0.6696
V6 0.3420 0.6822 0.3468
V7 0.3540 0.1958 0.2100
V8 0.5119 0.5503 0.0012
V9 0.5524 0.0400 0.0007
V10 0.6674 0.3385 0.6734
V11 0.8623 0.2121 0.3289
V12 0.8642 0.6974 0.3317
O1 0.0228 0.5353 0.7486
O2 0.0431 0.0419 0.2538
O3 0.0438 0.0356 0.7298
O4 0.0437 0.5449 0.2636
O5 0.1706 0.8150 0.4190
O6 0.1739 0.3538 0.9270
O7 0.1739 0.3919 0.4172
O8 0.1953 0.8638 0.9242
O9 0.2979 0.6786 0.5869
O10 0.3558 0.1977 0.0759
O11 0.3589 0.2018 0.5933
O12 0.3889 0.7025 0.0684
O13 0.5058 0.5152 0.7335
O14 0.5079 0.0426 0.2540
O15 0.5090 0.5030 0.2556
O16 0.5243 0.0510 0.7330
O17 0.6843 0.8686 0.3846
O18 0.6850 0.8605 0.9233
O19 0.6916 0.3708 0.9280
O20 0.7442 0.3930 0.4151
O21 0.8267 0.1636 0.0693
O22 0.8542 0.7284 0.0680
O23 0.8660 0.6679 0.5865
O24 0.8847 0.2477 0.5865


No. 3
Diffraction record for VO2. The XRD peak list is simulated, not measured: it uses the PBE+U geometry in the Materials Project and Cu Kα, 1.54184 Å.
Neutral-atom scattering factors, no anomalous dispersion.

Top 10 peaks for 2θ from 10° to 90°, sorted by position:
- 2θ = 14.53°, I = 100.0
- 2θ = 25.25°, I = 69.3
- 2θ = 29.29°, I = 80.3
- 2θ = 32.78°, I = 45.7
- 2θ = 32.85°, I = 29.0
- 2θ = 44.51°, I = 29.5
- 2θ = 44.65°, I = 29.5
- 2θ = 47.03°, I = 35.6
- 2θ = 56.37°, I = 21.2
- 2θ = 66.86°, I = 13.8

Structure:
Lattice parameters (Å, degrees): 7.7290 8.5981 8.6490 89.83 89.96 89.94
Fractional positions:
V1 0.0000 0.0000 0.0000
V2 0.0007 0.9999 0.4011
V3 0.0019 0.2973 0.7004
V4 0.0046 0.7034 0.6998
V5 0.2499 0.2091 0.1937
V6 0.2514 0.5091 0.8955
V7 0.2522 0.5086 0.4888
V8 0.2534 0.8096 0.1929
V9 0.4995 0.7217 0.7014
V10 0.5006 0.3103 0.7087
V11 0.5033 0.0139 0.0081
V12 0.5025 0.0204 0.4036
V13 0.7488 0.8104 0.1937
V14 0.7503 0.5179 0.4988
V15 0.7523 0.5119 0.8964
V16 0.7550 0.2207 0.2038
O1 0.0011 0.1755 0.5456
O2 0.0009 0.1776 0.8582
O3 0.0012 0.5126 0.8498
O4 0.0015 0.8579 0.5402
O5 0.0011 0.8591 0.8630
O6 0.0012 0.8607 0.2028
O7 0.0080 0.5100 0.5488
O8 0.2454 0.3569 0.7010
O9 0.2508 0.0121 0.0516
O10 0.2511 0.0116 0.3483
O11 0.2509 0.3536 0.3669
O12 0.2520 0.3463 0.0508
O13 0.2520 0.6713 0.0512
O14 0.2529 0.6665 0.3691
O15 0.2583 0.6622 0.7006
O16 0.4954 0.5023 0.5499
O17 0.5011 0.8438 0.5444
O18 0.5010 0.8613 0.2027
O19 0.5021 0.1644 0.5383
O20 0.5018 0.1711 0.8520
O21 0.5023 0.5064 0.8487
O22 0.5024 0.8436 0.8539
O23 0.5078 0.1631 0.2058
O24 0.7457 0.6611 0.6956
O25 0.7507 0.6628 0.3646
O26 0.7513 0.6710 0.0504
O27 0.7515 0.0055 0.3502
O28 0.7522 0.0089 0.0513
O29 0.7516 0.3437 0.0509
O30 0.7527 0.3432 0.3603
O31 0.7574 0.3596 0.6989
O32 0.9960 0.1613 0.2036


No. 4
Diffraction record for V2O3. The XRD peak list is simulated, not measured: it uses the PBE+U geometry in the Materials Project and Cu Kα, 1.54184 Å.
Neutral-atom scattering factors, no anomalous dispersion.

Top 10 peaks for 2θ from 10° to 90°, sorted by position:
- 2θ = 11.18°, I = 100.0
- 2θ = 18.51°, I = 37.6
- 2θ = 31.15°, I = 28.5
- 2θ = 32.69°, I = 17.1
- 2θ = 33.46°, I = 59.5
- 2θ = 40.37°, I = 35.6
- 2θ = 41.62°, I = 34.6
- 2θ = 43.63°, I = 29.5
- 2θ = 46.34°, I = 17.1
- 2θ = 62.67°, I = 20.6

Structure:
Lattice parameters (Å, degrees): 5.2558 5.2558 15.8221 90.00 90.00 146.25
Fractional positions:
V1 0.1034 0.8966 0.6409
V2 0.1034 0.8966 0.8591
V3 0.3666 0.6334 0.5477
V4 0.3666 0.6334 0.9523
V5 0.6334 0.3666 0.0477
V6 0.6334 0.3666 0.4523
V7 0.8966 0.1034 0.1409
V8 0.8966 0.1034 0.3591
O1 0.0000 0.0000 0.0000
O2 0.0000 0.0000 0.5000
O3 0.1537 0.8463 0.7500
O4 0.2720 0.7280 0.0742
O5 0.2720 0.7280 0.4258
O6 0.4790 0.5210 0.6432
O7 0.4790 0.5210 0.8568
O8 0.5210 0.4790 0.1432
O9 0.5210 0.4790 0.3568
O10 0.7280 0.2720 0.5742
O11 0.7280 0.2720 0.9258
O12 0.8463 0.1537 0.2500


No. 5
Diffraction record for V7O13. The XRD peak list is simulated, not measured: it uses the PBE+U geometry in the Materials Project and Cu Kα, 1.54184 Å.
Neutral-atom scattering factors, no anomalous dispersion.

Top 10 peaks for 2θ from 10° to 90°, sorted by position:
- 2θ = 23.40°, I = 38.9
- 2θ = 26.69°, I = 72.3
- 2θ = 28.57°, I = 69.4
- 2θ = 29.51°, I = 100.0
- 2θ = 34.51°, I = 38.9
- 2θ = 35.27°, I = 43.5
- 2θ = 36.02°, I = 37.9
- 2θ = 53.45°, I = 29.7
- 2θ = 54.93°, I = 45.5
- 2θ = 56.46°, I = 30.1

Structure:
Lattice parameters (Å, degrees): 5.5740 7.0902 11.4529 96.57 90.02 108.19
Fractional positions:
V1 0.0000 0.0000 0.0000
V2 0.0008 0.2047 0.2550
V3 0.1772 0.2199 0.5556
V4 0.1807 0.7140 0.5620
V5 0.3839 0.2417 0.8418
V6 0.4107 0.7542 0.8550
V7 0.5737 0.4654 0.4068
V8 0.5767 0.7743 0.1501
V9 0.5823 0.9787 0.4109
V10 0.5914 0.2750 0.1417
V11 0.7882 0.4837 0.6968
V12 0.7920 0.9847 0.7027
V13 0.9912 0.5050 0.9865
V14 0.9954 0.7061 0.2611
O1 0.0421 0.0842 0.8374
O2 0.0765 0.9600 0.5947
O3 0.1167 0.7723 0.9516
O4 0.1691 0.6629 0.7101
O5 0.2074 0.7858 0.3826
O6 0.2485 0.6548 0.1477
O7 0.2731 0.4764 0.5003
O8 0.2862 0.4752 0.9079
O9 0.3340 0.3198 0.2558
O10 0.3801 0.1804 0.0217
O11 0.4194 0.3218 0.6896
O12 0.4610 0.1837 0.4529
O13 0.5190 0.0335 0.8026
O14 0.5428 0.8815 0.5570
O15 0.6028 0.0465 0.2278
O16 0.6396 0.8528 0.9973
O17 0.6632 0.7302 0.3222
O18 0.7002 0.7318 0.7458
O19 0.7424 0.5612 0.1108
O20 0.7616 0.4213 0.8701
O21 0.8272 0.5599 0.5309
O22 0.8436 0.4191 0.2914
O23 0.8967 0.2443 0.6507
O24 0.9238 0.2584 0.0812
O25 0.9325 0.1215 0.4082
O26 0.9860 0.9336 0.1786


No. 6
Diffraction record for VO. The XRD peak list is simulated, not measured: it uses the PBE+U geometry in the Materials Project and Cu Kα, 1.54184 Å.
Neutral-atom scattering factors, no anomalous dispersion.

Top 10 peaks for 2θ from 10° to 90°, sorted by position:
- 2θ = 34.69°, I = 41.7
- 2θ = 36.63°, I = 11.7
- 2θ = 40.85°, I = 100.0
- 2θ = 57.82°, I = 31.0
- 2θ = 60.45°, I = 25.9
- 2θ = 69.22°, I = 5.5
- 2θ = 70.42°, I = 10.3
- 2θ = 72.80°, I = 4.5
- 2θ = 73.20°, I = 13.7
- 2θ = 88.53°, I = 7.7

Structure:
Lattice parameters (Å, degrees): 3.1892 3.1892 14.7215 90.00 90.00 120.00
Fractional positions:
V1 0.0000 0.0000 0.2464
V2 0.0000 0.0000 0.7535
V3 0.3333 0.6667 0.4202
V4 0.3333 0.6667 0.9131
V5 0.6667 0.3333 0.0869
V6 0.6667 0.3333 0.5798
O1 0.0000 0.0000 0.0000
O2 0.0000 0.0000 0.5000
O3 0.3333 0.6667 0.1667
O4 0.3333 0.6667 0.6667
O5 0.6667 0.3333 0.3333
O6 0.6667 0.3333 0.8333


No. 7
Diffraction record for VO2. The XRD peak list is simulated, not measured: it uses the PBE+U geometry in the Materials Project and Cu Kα, 1.54184 Å.
Neutral-atom scattering factors, no anomalous dispersion.

Top 10 peaks for 2θ from 10° to 90°, sorted by position:
- 2θ = 27.94°, I = 100.0
- 2θ = 35.62°, I = 57.1
- 2θ = 41.01°, I = 19.9
- 2θ = 54.57°, I = 61.3
- 2θ = 57.75°, I = 18.4
- 2θ = 60.99°, I = 9.8
- 2θ = 65.36°, I = 9.6
- 2θ = 68.39°, I = 12.2
- 2θ = 69.73°, I = 21.1
- 2θ = 88.94°, I = 9.2

Structure:
Lattice parameters (Å, degrees): 4.5153 4.5153 3.0381 90.00 90.00 90.00
Fractional positions:
V1 0.0000 0.0000 0.0000
V2 0.5000 0.5000 0.5000
O1 0.2008 0.2008 0.5000
O2 0.2992 0.7008 0.0000
O3 0.7008 0.2992 0.0000
O4 0.7992 0.7992 0.5000